Record 1
This entry pairs a crystal structure of PmZn8Cu2 with its computed XRD peak list. Radiation: Cu Kα (weighted mean of Kα1 and Kα2). Structure: DFT lattice parameters and positions (PBE).
Lines closer than 0.1° are merged.

Cell and atoms:
Cell: 5.2179 5.2179 8.5237 Å, 90.00 90.00 90.00°
Element x y z (fractional)
Pm1 0.0000 0.0000 0.0000
Zn1 0.2522 0.2522 0.2939
Zn2 0.2522 0.2522 0.7061
Zn3 0.2522 0.7478 0.2939
Zn4 0.2522 0.7478 0.7061
Zn5 0.7478 0.2522 0.2939
Zn6 0.7478 0.2522 0.7061
Zn7 0.7478 0.7478 0.2939
Zn8 0.7478 0.7478 0.7061
Cu1 0.0000 0.5000 0.5000
Cu2 0.5000 0.0000 0.5000

Peak list (10 most intense, 2θ from 10° to 90°, low angle first)
two_theta  I (rel.)
10.4  248
20.0  231
26.3  436
31.5  155
40.1  214
40.5  1000
47.3  178
49.4  341
65.4  208
86.5  223

=====

Record 2
This entry pairs a crystal structure of Ce3Tm5Sb8 with its computed XRD peak list. Radiation: Cu Kα (weighted mean of Kα1 and Kα2). Structure: DFT lattice parameters and positions (PBE).
Lines closer than 0.1° are merged.

Cell and atoms:
Cell: 8.7909 8.7909 8.7909 Å, 60.10 60.10 60.10°
Element x y z (fractional)
Ce1 0.0000 0.5000 0.5000
Ce2 0.5000 0.0000 0.5000
Ce3 0.5000 0.5000 0.0000
Tm1 0.0000 0.0000 0.0000
Tm2 0.0000 0.0000 0.5000
Tm3 0.0000 0.5000 0.0000
Tm4 0.5000 0.0000 0.0000
Tm5 0.5000 0.5000 0.5000
Sb1 0.2437 0.7500 0.7500
Sb2 0.2466 0.2466 0.2466
Sb3 0.2500 0.2500 0.7563
Sb4 0.2500 0.7563 0.2500
Sb5 0.7500 0.2437 0.7500
Sb6 0.7500 0.7500 0.2437
Sb7 0.7534 0.7534 0.7534
Sb8 0.7563 0.2500 0.2500

Peak list (10 most intense, 2θ from 10° to 90°, low angle first)
two_theta  I (rel.)
28.7  1000
41.0  760
50.8  204
50.9  67
59.4  126
67.3  346
74.7  193
74.9  63
88.9  43
89.1  42

=====

Record 3
This entry pairs a crystal structure of CsTlHg4 with its computed XRD peak list. Radiation: Cu Kα (weighted mean of Kα1 and Kα2). Structure: DFT lattice parameters and positions (PBE).
Lines closer than 0.1° are merged.

Cell and atoms:
Cell: 10.6809 10.6809 10.6809 Å, 111.19 111.19 106.09°
Element x y z (fractional)
Cs1 0.1588 0.1588 0.0000
Cs2 0.2500 0.7500 0.5000
Cs3 0.7500 0.2500 0.5000
Cs4 0.8412 0.8412 0.0000
Tl1 0.3014 0.5000 0.8014
Tl2 0.5000 0.3014 0.8014
Tl3 0.5000 0.6986 0.1986
Tl4 0.6986 0.5000 0.1986
Hg1 0.1227 0.3036 0.4263
Hg2 0.1227 0.6964 0.8191
Hg3 0.1368 0.1368 0.6370
Hg4 0.1368 0.4997 0.0000
Hg5 0.3036 0.1227 0.4263
Hg6 0.3036 0.8773 0.1809
Hg7 0.4997 0.1368 0.0000
Hg8 0.4997 0.4997 0.3630
Hg9 0.5003 0.5003 0.6370
Hg10 0.5003 0.8632 0.0000
Hg11 0.6964 0.1227 0.8191
Hg12 0.6964 0.8773 0.5737
Hg13 0.8632 0.5003 0.0000
Hg14 0.8632 0.8632 0.3630
Hg15 0.8773 0.3036 0.1809
Hg16 0.8773 0.6964 0.5737

Peak list (10 most intense, 2θ from 10° to 90°, low angle first)
two_theta  I (rel.)
14.7  596
25.1  741
26.6  513
27.2  589
30.5  571
34.0  1000
34.5  853
37.9  917
42.5  422
52.0  550

=====

Record 4
This entry pairs a crystal structure of TbVSb with its computed XRD peak list. Radiation: Cu Kα (weighted mean of Kα1 and Kα2). Structure: DFT lattice parameters and positions (PBE).
Lines closer than 0.1° are merged.

Cell and atoms:
Cell: 8.2515 8.1245 4.4561 Å, 75.79 72.64 31.57°
Element x y z (fractional)
Tb1 0.1240 0.1240 0.8760
Tb2 0.8760 0.8760 0.1240
V1 0.3582 0.6418 0.3582
V2 0.6418 0.3582 0.6418
Sb1 0.3291 0.3291 0.6709
Sb2 0.6709 0.6709 0.3291

Peak list (10 most intense, 2θ from 10° to 90°, low angle first)
two_theta  I (rel.)
23.5  248
26.9  534
30.0  615
36.0  1000
38.5  142
40.7  355
47.6  315
57.2  172
58.8  140
72.5  135

=====

Record 5
This entry pairs a crystal structure of LiMg6In4 with its computed XRD peak list. Radiation: Cu Kα (weighted mean of Kα1 and Kα2). Structure: DFT lattice parameters and positions (PBE).
Lines closer than 0.1° are merged.

Cell and atoms:
Cell: 8.8699 8.8699 4.0420 Å, 90.00 90.00 120.00°
Element x y z (fractional)
Li1 0.0000 0.0000 0.0000
Mg1 0.0597 0.5298 0.0000
Mg2 0.3991 0.1995 0.5000
Mg3 0.4702 0.5298 0.0000
Mg4 0.4702 0.9403 0.0000
Mg5 0.8005 0.1995 0.5000
Mg6 0.8005 0.6009 0.5000
In1 0.1757 0.3515 0.5000
In2 0.1757 0.8243 0.5000
In3 0.6485 0.8243 0.5000
In4 0.6667 0.3333 0.0000

Peak list (10 most intense, 2θ from 10° to 90°, low angle first)
two_theta  I (rel.)
23.2  1000
24.9  419
29.9  371
32.1  390
38.2  639
40.7  440
41.8  175
47.3  156
51.1  231
62.1  241

=====

Record 6
This entry pairs a crystal structure of CaCd9Ga2 with its computed XRD peak list. Radiation: Cu Kα (weighted mean of Kα1 and Kα2). Structure: DFT lattice parameters and positions (PBE).
Lines closer than 0.1° are merged.

Cell and atoms:
Cell: 9.3032 9.3032 9.3032 Å, 99.95 99.95 130.88°
Element x y z (fractional)
Ca1 0.3750 0.6250 0.7500
Ca2 0.6250 0.3750 0.2500
Cd1 0.1143 0.5482 0.3241
Cd2 0.1143 0.7903 0.5661
Cd3 0.1250 0.8750 0.2500
Cd4 0.2097 0.2758 0.3241
Cd5 0.2097 0.8857 0.9339
Cd6 0.2758 0.2097 0.8241
Cd7 0.2758 0.4518 0.0661
Cd8 0.4518 0.2758 0.5661
Cd9 0.4518 0.8857 0.1759
Cd10 0.5482 0.1143 0.8241
Cd11 0.5482 0.7242 0.4339
Cd12 0.7242 0.5482 0.9339
Cd13 0.7242 0.7903 0.1759
Cd14 0.7903 0.1143 0.0661
Cd15 0.7903 0.7242 0.6759
Cd16 0.8750 0.1250 0.7500
Cd17 0.8857 0.2097 0.4339
Cd18 0.8857 0.4518 0.6759
Ga1 0.0000 0.0000 0.0000
Ga2 0.0000 0.0000 0.5000
Ga3 0.0000 0.5000 0.0000
Ga4 0.5000 0.0000 0.5000

Peak list (10 most intense, 2θ from 10° to 90°, low angle first)
two_theta  I (rel.)
14.8  172
20.2  135
33.1  784
33.5  425
35.6  178
38.8  311
39.4  1000
41.0  199
59.6  208
63.9  155

=====

Record 7
This entry pairs a crystal structure of LiPaBi2Se6 with its computed XRD peak list. Radiation: Cu Kα (weighted mean of Kα1 and Kα2). Structure: DFT lattice parameters and positions (PBE).
Lines closer than 0.1° are merged.

Cell and atoms:
Cell: 7.6973 7.6973 7.6973 Å, 56.05 56.05 56.05°
Element x y z (fractional)
Li1 0.0000 0.0000 0.0000
Pa1 0.4948 0.4948 0.4948
Bi1 0.3038 0.3038 0.3038
Bi2 0.8071 0.8071 0.8071
Se1 0.1148 0.7231 0.3775
Se2 0.2316 0.6184 0.8696
Se3 0.3775 0.1148 0.7231
Se4 0.6184 0.8696 0.2316
Se5 0.7231 0.3775 0.1148
Se6 0.8696 0.2316 0.6184

Peak list (10 most intense, 2θ from 10° to 90°, low angle first)
two_theta  I (rel.)
14.9  347
16.8  511
23.2  499
24.6  378
28.3  653
34.1  325
37.3  1000
42.5  278
43.3  545
49.2  305

=====

Record 8
This entry pairs a crystal structure of NaMgSO7 with its computed XRD peak list. Radiation: Cu Kα (weighted mean of Kα1 and Kα2). Structure: DFT lattice parameters and positions (PBE).
Lines closer than 0.1° are merged.

Cell and atoms:
Cell: 5.0183 6.6120 8.0503 Å, 90.00 96.32 90.00°
Element x y z (fractional)
Na1 0.1428 0.2500 0.1747
Na2 0.8572 0.7500 0.8253
Mg1 0.5000 0.0000 0.5000
Mg2 0.5000 0.5000 0.5000
S1 0.0296 0.2500 0.7051
S2 0.9704 0.7500 0.2949
O1 0.1208 0.2500 0.8841
O2 0.1309 0.5649 0.3427
O3 0.1309 0.9351 0.3427
O4 0.2809 0.2500 0.6128
O5 0.3437 0.6566 0.9587
O6 0.3437 0.8434 0.9587
O7 0.4811 0.7500 0.6386
O8 0.5189 0.2500 0.3614
O9 0.6563 0.1566 0.0413
O10 0.6563 0.3434 0.0413
O11 0.7191 0.7500 0.3872
O12 0.8691 0.0649 0.6573
O13 0.8691 0.4351 0.6573
O14 0.8792 0.7500 0.1159

Peak list (10 most intense, 2θ from 10° to 90°, low angle first)
two_theta  I (rel.)
11.1  272
17.4  277
24.1  245
25.9  611
26.0  336
27.0  1000
30.1  263
30.2  361
38.6  229
45.9  236

=====

What did the fourth record say?
This entry pairs a crystal structure of TbVSb with its computed XRD peak list. Radiation: Cu Kα (weighted mean of Kα1 and Kα2). Structure: DFT lattice parameters and positions (PBE).
Lines closer than 0.1° are merged.

Cell and atoms:
Cell: 8.2515 8.1245 4.4561 Å, 75.79 72.64 31.57°
Element x y z (fractional)
Tb1 0.1240 0.1240 0.8760
Tb2 0.8760 0.8760 0.1240
V1 0.3582 0.6418 0.3582
V2 0.6418 0.3582 0.6418
Sb1 0.3291 0.3291 0.6709
Sb2 0.6709 0.6709 0.3291

Peak list (10 most intense, 2θ from 10° to 90°, low angle first)
two_theta  I (rel.)
23.5  248
26.9  534
30.0  615
36.0  1000
38.5  142
40.7  355
47.6  315
57.2  172
58.8  140
72.5  135

=====

Number 2 is which compound? Ce3Tm5Sb8